No. 1
For TiAu3, the PBE geometry in the Materials Project gives the computed powder diffraction line list in this record (a wavelength of 1.5418 Å).
Lines closer than 0.1° are merged.

The 6 most intense peaks (2θ = 15–90°), low angle first:
index	Position (°2θ)	d_spacing	intensity
1 0 1	23.91	3.721	17
1 1 2	37.90	2.374	100
2 0 0	42.69	2.118	36
0 0 4	46.65	1.947	14
2 0 4	65.08	1.433	21
3 1 2	74.98	1.267	28

Atomic structure:
```
data_TiAu3
_chemical_formula_sum 'Ti2 Au6'
_cell_length_a 4.236
_cell_length_b 4.236
_cell_length_c 7.788
_cell_angle_alpha 90.00
_cell_angle_beta 90.00
_cell_angle_gamma 90.00
_symmetry_space_group_name_H-M 'I 4/m m m'
_symmetry_Int_Tables_number 139
_symmetry_space_group_name_Hall '-I 4 2'
loop_
_atom_site_label
_atom_site_type_symbol
_atom_site_fract_x
_atom_site_fract_y
_atom_site_fract_z
_atom_site_occupancy
Ti1 Ti 0.000 0.000 0.000 1
Au1 Au 0.000 0.000 0.500 1
Au2 Au 0.000 0.500 0.250 1
```

=====

No. 2
For ZrP, the PBE geometry in the Materials Project gives the computed powder diffraction line list in this record (a wavelength of 1.5418 Å).
Lines closer than 0.1° are merged.

The 6 most intense peaks (2θ = 15–90°), low angle first:
index	Position (°2θ)	d_spacing	intensity
1 1 1	29.18	3.060	50
2 0 0	33.82	2.650	100
2 2 0	48.58	1.874	69
3 1 1	57.68	1.598	22
2 2 2	60.50	1.530	23
4 2 0	81.15	1.185	30

Atomic structure:
```
data_ZrP
_chemical_formula_sum 'Zr4 P4'
_cell_length_a 5.301
_cell_length_b 5.301
_cell_length_c 5.301
_cell_angle_alpha 90.00
_cell_angle_beta 90.00
_cell_angle_gamma 90.00
_symmetry_space_group_name_H-M 'F m -3 m'
_symmetry_Int_Tables_number 225
_symmetry_space_group_name_Hall '-F 4 2 3'
loop_
_atom_site_label
_atom_site_type_symbol
_atom_site_fract_x
_atom_site_fract_y
_atom_site_fract_z
_atom_site_occupancy
Zr1 Zr 0.000 0.000 0.000 1
P1 P 0.000 0.000 0.500 1
```

=====

No. 3
For LiCuSi2O5, the PBE geometry in the Materials Project gives the computed powder diffraction line list in this record (a wavelength of 1.5418 Å).
Lines closer than 0.1° are merged.

The 6 most intense peaks (2θ = 15–90°), low angle first:
index	Position (°2θ)	d_spacing	intensity
1 0 -1	16.93	5.237	24
1 1 -1	24.79	3.592	100
1 1 -2	30.33	2.947	21
2 0 -1	31.26	2.861	27
0 2 0	36.40	2.468	40
1 1 -3	38.95	2.312	20

Atomic structure:
```
data_LiCuSi2O5
_chemical_formula_sum 'Li2 Cu2 Si4 O10'
_cell_length_a 5.737
_cell_length_b 4.936
_cell_length_c 7.972
_cell_angle_alpha 90.00
_cell_angle_beta 106.98
_cell_angle_gamma 90.00
_symmetry_space_group_name_H-M 'P 1 21 1'
_symmetry_Int_Tables_number 4
_symmetry_space_group_name_Hall 'P 2yb'
loop_
_atom_site_label
_atom_site_type_symbol
_atom_site_fract_x
_atom_site_fract_y
_atom_site_fract_z
_atom_site_occupancy
Li1 Li 0.057 0.000 0.324 1
Cu1 Cu 0.014 0.532 0.128 1
Si1 Si 0.353 0.500 0.515 1
Si2 Si 0.450 0.986 0.096 1
O1 O 0.105 0.600 0.375 1
O2 O 0.183 0.057 0.114 1
O3 O 0.328 0.543 0.716 1
O4 O 0.402 0.171 0.494 1
O5 O 0.469 0.662 0.053 1
```

=====

No. 4
For BaCe2CoS5, the PBE geometry in the Materials Project gives the computed powder diffraction line list in this record (a wavelength of 1.5418 Å).
Lines closer than 0.1° are merged.

The 6 most intense peaks (2θ = 15–90°), low angle first:
index	Position (°2θ)	d_spacing	intensity
0 0 4	26.55	3.357	100
2 1 3	32.67	2.741	83
3 1 0	36.62	2.454	29
2 2 4	42.60	2.122	38
4 0 2	48.88	1.863	18
4 2 0	52.77	1.735	21

Atomic structure:
```
data_BaCe2CoS5
_chemical_formula_sum 'Ba4 Ce8 Co4 S20'
_cell_length_a 7.759
_cell_length_b 7.759
_cell_length_c 13.408
_cell_angle_alpha 90.00
_cell_angle_beta 90.00
_cell_angle_gamma 90.00
_symmetry_space_group_name_H-M 'I 4/m c m'
_symmetry_Int_Tables_number 140
_symmetry_space_group_name_Hall '-I 4 2c'
loop_
_atom_site_label
_atom_site_type_symbol
_atom_site_fract_x
_atom_site_fract_y
_atom_site_fract_z
_atom_site_occupancy
Ba1 Ba 0.000 0.000 0.250 1
Ce1 Ce 0.162 0.338 0.000 1
Co1 Co 0.000 0.500 0.250 1
S1 S 0.000 0.000 0.000 1
S2 S 0.145 0.355 0.366 1
```

=====

No. 5
For HoB4W, the PBE geometry in the Materials Project gives the computed powder diffraction line list in this record (a wavelength of 1.5418 Å).
Lines closer than 0.1° are merged.

The 6 most intense peaks (2θ = 15–90°), low angle first:
index	Position (°2θ)	d_spacing	intensity
0 0 1	24.60	3.619	99
0 4 0	30.64	2.918	84
2 3 0	37.76	2.382	35
0 4 1	39.68	2.271	100
1 4 1	42.56	2.124	35
2 3 1	45.59	1.990	47

Atomic structure:
```
data_HoB4W
_chemical_formula_sum 'Ho4 B16 W4'
_cell_length_a 6.032
_cell_length_b 11.654
_cell_length_c 3.619
_cell_angle_alpha 90.00
_cell_angle_beta 90.00
_cell_angle_gamma 90.00
_symmetry_space_group_name_H-M 'P b a m'
_symmetry_Int_Tables_number 55
_symmetry_space_group_name_Hall '-P 2 2ab'
loop_
_atom_site_label
_atom_site_type_symbol
_atom_site_fract_x
_atom_site_fract_y
_atom_site_fract_z
_atom_site_occupancy
Ho1 Ho 0.127 0.150 0.000 1
B1 B 0.023 0.694 0.500 1
B2 B 0.114 0.548 0.500 1
B3 B 0.133 0.968 0.500 1
B4 B 0.212 0.813 0.500 1
W1 W 0.131 0.415 0.000 1
```

=====

No. 6
For HoCuPb, the PBE geometry in the Materials Project gives the computed powder diffraction line list in this record (a wavelength of 1.5418 Å).
Lines closer than 0.1° are merged.

The 6 most intense peaks (2θ = 15–90°), low angle first:
index	Position (°2θ)	d_spacing	intensity
1 0 1	25.39	3.507	29
1 0 2	32.92	2.721	100
1 1 0	39.28	2.294	66
2 0 2	52.16	1.754	27
1 1 4	64.33	1.448	31
2 1 2	67.20	1.393	26

Atomic structure:
```
data_HoCuPb
_chemical_formula_sum 'Ho2 Cu2 Pb2'
_cell_length_a 4.5873
_cell_length_b 4.5873
_cell_length_c 7.4687
_cell_angle_alpha 90.00
_cell_angle_beta 90.00
_cell_angle_gamma 120.00
_symmetry_space_group_name_H-M 'P 63/m m c'
_symmetry_Int_Tables_number 194
_symmetry_space_group_name_Hall '-P 6c 2c'
loop_
_atom_site_label
_atom_site_type_symbol
_atom_site_fract_x
_atom_site_fract_y
_atom_site_fract_z
_atom_site_occupancy
Ho1 Ho 0.0000 0.0000 0.0000 1
Cu1 Cu 0.3333 0.6667 0.2500 1
Pb1 Pb 0.3333 0.6667 0.7500 1
```

=====

Q: Which formula does entry 2 have?
A: ZrP